# Y2AlHg3
Computed PXRD pattern, Cu Kα (weighted mean of Kα1 and Kα2). Input: a DFT-relaxed cell (PBE, Alexandria).

Most intense lines, 10 to 90 degrees two-theta, in order of falling intensity:
33.1 deg, rel. 100; 37.6 deg, rel. 93; 65.1 deg, rel. 34; 45.6 deg, rel. 33; 24.9 deg, rel. 27; 22.3 deg, rel. 20; 50.9 deg, rel. 19; 64.9 deg, rel. 18; 31.2 deg, rel. 13; 51.1 deg, rel. 13

Atomic structure:
```
Y2AlHg3
1.0
0.000 4.782 8.309
3.572 0.000 8.309
3.572 4.782 0.000
Y Al Hg
4 2 6
Direct
0.243 0.757 0.757 Y
0.250 0.250 0.250 Y
0.750 0.750 0.750 Y
0.757 0.243 0.243 Y
0.333 0.333 0.667 Al
0.667 0.667 0.333 Al
0.171 0.171 0.829 Hg
0.174 0.654 0.346 Hg
0.346 0.826 0.174 Hg
0.654 0.174 0.826 Hg
0.826 0.346 0.654 Hg
0.829 0.829 0.171 Hg
```



# Zn2GeO4
Computed PXRD pattern, Cu Kα (weighted mean of Kα1 and Kα2). Input: a DFT-relaxed cell (PBE, Alexandria).

Most intense lines, 10 to 90 degrees two-theta, in order of falling intensity:
32.7 deg, rel. 100; 30.4 deg, rel. 82; 24.6 deg, rel. 64; 37.4 deg, rel. 59; 47.1 deg, rel. 46; 63.0 deg, rel. 43; 21.3 deg, rel. 24; 67.5 deg, rel. 23; 65.9 deg, rel. 22; 12.2 deg, rel. 18

Atomic structure:
```
Zn2GeO4
1.0
7.238 4.179 3.218
-7.238 4.179 3.218
0.000 -8.357 3.218
Zn Ge O
12 6 24
Direct
0.103 0.874 0.276 Zn
0.126 0.724 0.897 Zn
0.203 0.608 0.441 Zn
0.276 0.103 0.874 Zn
0.392 0.559 0.797 Zn
0.441 0.203 0.608 Zn
0.559 0.797 0.392 Zn
0.608 0.441 0.203 Zn
0.724 0.897 0.126 Zn
0.797 0.392 0.559 Zn
0.874 0.276 0.103 Zn
0.897 0.126 0.724 Zn
0.055 0.232 0.463 Ge
0.232 0.463 0.055 Ge
0.463 0.055 0.232 Ge
0.537 0.945 0.768 Ge
0.768 0.537 0.945 Ge
0.945 0.768 0.537 Ge
0.014 0.304 0.971 O
0.029 0.986 0.696 O
0.035 0.363 0.350 O
0.073 0.751 0.422 O
0.249 0.578 0.927 O
0.279 0.316 0.611 O
0.304 0.971 0.014 O
0.316 0.611 0.279 O
0.350 0.035 0.363 O
0.363 0.350 0.035 O
0.389 0.721 0.684 O
0.422 0.073 0.751 O
0.578 0.927 0.249 O
0.611 0.279 0.316 O
0.637 0.650 0.965 O
0.650 0.965 0.637 O
0.684 0.389 0.721 O
0.696 0.029 0.986 O
0.721 0.684 0.389 O
0.751 0.422 0.073 O
0.927 0.249 0.578 O
0.965 0.637 0.650 O
0.971 0.014 0.304 O
0.986 0.696 0.029 O
```



# La12Pm5Sm
Computed PXRD pattern, Cu Kα (weighted mean of Kα1 and Kα2). Input: a DFT-relaxed cell (PBE, Alexandria).

Most intense lines, 10 to 90 degrees two-theta, in order of falling intensity:
29.5 deg, rel. 100; 34.3 deg, rel. 34; 49.2 deg, rel. 30; 34.1 deg, rel. 17; 58.3 deg, rel. 15; 58.5 deg, rel. 14; 58.6 deg, rel. 14; 61.3 deg, rel. 9; 79.8 deg, rel. 9; 82.4 deg, rel. 8

Atomic structure:
```
La12Pm5Sm
1.0
9.625 -5.539 0.000
9.625 5.539 0.000
-2.123 0.000 6.065
La Pm Sm
12 5 1
Direct
0.002 0.664 0.167 La
0.165 0.502 0.666 La
0.169 0.831 0.000 La
0.331 0.669 0.500 La
0.336 0.998 0.833 La
0.498 0.835 0.334 La
0.502 0.165 0.666 La
0.664 0.002 0.167 La
0.669 0.331 0.500 La
0.831 0.169 0.000 La
0.835 0.498 0.334 La
0.998 0.336 0.833 La
0.000 0.000 0.500 Pm
0.167 0.167 0.333 Pm
0.333 0.333 0.166 Pm
0.667 0.667 0.834 Pm
0.833 0.833 0.667 Pm
0.500 0.500 0.000 Sm
```